Computed PXRD pattern of SrPr2PuO8 for λ = 1.5418 Å (Cu Kα), from a cell relaxed with PBE.

Main lines, by angle (10 to 90 degrees two-theta):
- 2θ = 11.4°, d 7.777, I 20
- 2θ = 25.2°, d 3.540, I 43
- 2θ = 28.2°, d 3.163, I 100
- 2θ = 31.3°, d 2.858, I 33
- 2θ = 42.9°, d 2.108, I 14
- 2θ = 44.1°, d 2.054, I 28
- 2θ = 47.9°, d 1.898, I 20
- 2θ = 53.8°, d 1.703, I 22

Cell and atoms:
a = 4.245 Å, b = 7.777 Å, c = 5.483 Å
α = 90.00°, β = 96.70°, γ = 90.00°
Fractional coordinates of all 12 atoms:
Sr1 0.000 0.000 0.000
Pr1 0.500 0.252 0.500
Pr2 0.500 0.748 0.500
Pu1 0.000 0.500 0.000
O1 0.052 0.300 0.766
O2 0.052 0.700 0.766
O3 0.419 0.500 0.212
O4 0.489 0.000 0.735
O5 0.511 0.000 0.265
O6 0.581 0.500 0.788
O7 0.948 0.300 0.234
O8 0.948 0.700 0.234



Computed PXRD pattern of RbPrReO6 for λ = 1.5418 Å (Cu Kα), from a cell relaxed with PBE.

Main lines, by angle (10 to 90 degrees two-theta):
- 2θ = 14.6°, d 6.070, I 100
- 2θ = 18.0°, d 4.934, I 23
- 2θ = 22.9°, d 3.891, I 49
- 2θ = 23.0°, d 3.868, I 44
- 2θ = 23.2°, d 3.835, I 70
- 2θ = 30.3°, d 2.947, I 33
- 2θ = 30.5°, d 2.930, I 33
- 2θ = 31.9°, d 2.808, I 27

Cell and atoms:
a = 5.618 Å, b = 5.874 Å, c = 6.075 Å
α = 87.62°, β = 88.82°, γ = 61.76°
Fractional coordinates of all 9 atoms:
Rb1 0.000 0.000 0.000
Pr1 0.324 0.323 0.468
Re1 0.648 0.678 0.550
O1 0.382 0.928 0.358
O2 0.416 0.600 0.706
O3 0.645 0.948 0.691
O4 0.675 0.406 0.338
O5 0.910 0.635 0.307
O6 0.954 0.434 0.703



Computed PXRD pattern of Rb3Pr2RhO6 for λ = 1.5418 Å (Cu Kα), from a cell relaxed with PBE.

Main lines, by angle (10 to 90 degrees two-theta):
- 2θ = 13.5°, d 6.550, I 19
- 2θ = 27.2°, d 3.275, I 40
- 2θ = 30.6°, d 2.918, I 79
- 2θ = 34.6°, d 2.595, I 100
- 2θ = 47.5°, d 1.913, I 23
- 2θ = 51.8°, d 1.764, I 31
- 2θ = 55.6°, d 1.654, I 13
- 2θ = 59.6°, d 1.552, I 18

Cell and atoms:
a = 6.110 Å, b = 6.110 Å, c = 6.854 Å
α = 98.47°, β = 98.47°, γ = 119.94°
Fractional coordinates of all 12 atoms:
Rb1 0.000 0.000 0.000
Rb2 0.339 0.661 0.000
Rb3 0.661 0.339 0.000
Pr1 0.167 0.833 0.500
Pr2 0.833 0.167 0.500
Rh1 0.500 0.500 0.500
O1 0.133 0.440 0.320
O2 0.252 0.252 0.680
O3 0.440 0.133 0.320
O4 0.560 0.867 0.680
O5 0.748 0.748 0.320
O6 0.867 0.560 0.680



Computed PXRD pattern of Rb2PrRuO6 for λ = 1.5418 Å (Cu Kα), from a cell relaxed with PBE.

Main lines, by angle (10 to 90 degrees two-theta):
- 2θ = 20.6°, d 4.303, I 10
- 2θ = 29.4°, d 3.043, I 100
- 2θ = 42.0°, d 2.152, I 32
- 2θ = 52.1°, d 1.757, I 39
- 2θ = 60.9°, d 1.521, I 19
- 2θ = 69.0°, d 1.361, I 19
- 2θ = 76.7°, d 1.242, I 6
- 2θ = 84.2°, d 1.150, I 21

Cell and atoms:
a = 6.086 Å, b = 6.086 Å, c = 6.086 Å
α = 60.00°, β = 60.00°, γ = 60.00°
Fractional coordinates of all 10 atoms:
Rb1 0.250 0.250 0.250
Rb2 0.750 0.750 0.750
Pr1 0.000 0.000 0.000
Ru1 0.500 0.500 0.500
O1 0.277 0.277 0.723
O2 0.277 0.723 0.277
O3 0.277 0.723 0.723
O4 0.723 0.277 0.277
O5 0.723 0.277 0.723
O6 0.723 0.723 0.277



Computed PXRD pattern of Rb2PrSmO4 for λ = 1.5418 Å (Cu Kα), from a cell relaxed with PBE.

Main lines, by angle (10 to 90 degrees two-theta):
- 2θ = 13.4°, d 6.610, I 24
- 2θ = 27.0°, d 3.305, I 38
- 2θ = 29.6°, d 3.018, I 81
- 2θ = 33.6°, d 2.670, I 100
- 2θ = 46.5°, d 1.952, I 35
- 2θ = 49.8°, d 1.829, I 33
- 2θ = 54.6°, d 1.681, I 19
- 2θ = 57.6°, d 1.601, I 29

Cell and atoms:
a = 6.337 Å, b = 3.659 Å, c = 6.938 Å
α = 90.00°, β = 107.69°, γ = 90.00°
Fractional coordinates of all 8 atoms:
Rb1 0.000 0.000 0.000
Rb2 0.500 0.500 0.000
Pr1 0.000 0.500 0.500
Sm1 0.500 0.000 0.500
O1 0.232 0.000 0.681
O2 0.278 0.500 0.320
O3 0.722 0.500 0.680
O4 0.768 0.000 0.319



Computed PXRD pattern of Rb2PrSnO4 for λ = 1.5418 Å (Cu Kα), from a cell relaxed with PBE.

Main lines, by angle (10 to 90 degrees two-theta):
- 2θ = 27.5°, d 3.246, I 35
- 2θ = 28.2°, d 3.166, I 100
- 2θ = 30.3°, d 2.951, I 75
- 2θ = 36.5°, d 2.465, I 23
- 2θ = 47.7°, d 1.908, I 20
- 2θ = 48.5°, d 1.876, I 18
- 2θ = 52.5°, d 1.743, I 27
- 2θ = 58.3°, d 1.583, I 15

Cell and atoms:
a = 5.905 Å, b = 5.905 Å, c = 6.413 Å
α = 117.22°, β = 117.22°, γ = 88.68°
Fractional coordinates of all 8 atoms:
Rb1 0.000 0.000 0.000
Rb2 0.746 0.254 0.500
Pr1 0.520 0.480 0.000
Sn1 0.254 0.746 0.500
O1 0.262 0.451 0.586
O2 0.459 0.063 0.922
O3 0.549 0.738 0.414
O4 0.937 0.541 0.078